Computed XRD peak list of RbMnOs2O8 for Cu Kα, 1.54184 Å, from a DFT-relaxed cell (GGA+U, Alexandria).

Principal peaks in the range 2θ from 10° to 90°, by angle:
two_theta  intensity  hkl
21.04  100.0  1 0 1
28.52  38.0  0 1 2
31.26  39.3  1 1 0
38.02  28.5  0 2 1
50.00  26.5  2 1 1
55.70  24.3  3 0 0

Unit cell a=5.7220 b=5.7220 c=8.0733 alpha=90.00 beta=90.00 gamma=120.00
Space group P-3 (No. 147)
Symmetry-distinct sites (fractional):
Rb1 0.0000 0.0000 0.0000
Mn1 0.0000 0.0000 0.5000
Os1 0.3333 0.6667 0.7313
O1 0.0909 0.3324 0.6641
O2 0.3333 0.6667 0.9508